For Pa2Bi2O5, a DFT-relaxed cell (PBE, OQMD) gives the theoretical XRD peak list in this record (Cu Kα X-rays).
Peak positions follow from Bragg's law for the DFT cell and can differ from measured ones.

Principal peaks in the range 5° ≤ 2θ ≤ 70°, most intense first:
Position (°2θ)  I (rel.)  index
28.25  100  1 0 2
29.27  42  1 1 0
51.28  41  2 1 2
41.87  22  2 0 0
49.38  21  1 1 4
58.44  16  2 0 4
38.85  13  0 0 4
64.00  10  1 0 6

Structure:
```
data_Pa2Bi2O5
_symmetry_space_group_name_H-M 'P 4/m m m'
_symmetry_Int_Tables_number 123
_symmetry_space_group_name_Hall '-P 4 2'
_cell_length_a 4.3150
_cell_length_b 4.3150
_cell_length_c 9.2715
_cell_angle_alpha 90.00
_cell_angle_beta 90.00
_cell_angle_gamma 90.00
loop_
_atom_site_label
_atom_site_type_symbol
_atom_site_fract_x
_atom_site_fract_y
_atom_site_fract_z
Pa1 Pa 0.0000 0.0000 0.2425
Bi1 Bi 0.5000 0.5000 0.0000
Bi2 Bi 0.5000 0.5000 0.5000
O1 O 0.0000 0.0000 0.0000
O2 O 0.0000 0.5000 0.2515
```

---

For NiSbPdW, a DFT-relaxed cell (PBE, OQMD) gives the theoretical XRD peak list in this record (Cu Kα X-rays).
Peak positions follow from Bragg's law for the DFT cell and can differ from measured ones.

Principal peaks in the range 5° ≤ 2θ ≤ 70°, most intense first:
Position (°2θ)  I (rel.)  index
40.11  100  2 2 0
58.03  17  4 0 0
28.07  9  2 0 0
24.25  6  1 1 1
65.68  4  4 2 0
47.43  3  3 1 1
49.67  3  2 2 2
63.81  1  3 3 1

Structure:
```
data_NiSbPdW
_symmetry_space_group_name_H-M 'F -4 3 m'
_symmetry_Int_Tables_number 216
_symmetry_space_group_name_Hall 'F -4 2 3'
_cell_length_a 6.3578
_cell_length_b 6.3578
_cell_length_c 6.3578
_cell_angle_alpha 90.00
_cell_angle_beta 90.00
_cell_angle_gamma 90.00
loop_
_atom_site_label
_atom_site_type_symbol
_atom_site_fract_x
_atom_site_fract_y
_atom_site_fract_z
Ni1 Ni 0.0000 0.0000 0.0000
Sb1 Sb 0.2500 0.2500 0.7500
Pd1 Pd 0.0000 0.0000 0.5000
W1 W 0.2500 0.2500 0.2500
```

---

For PrIn2Ag2, a DFT-relaxed cell (PBE, OQMD) gives the theoretical XRD peak list in this record (Cu Kα X-rays).
Peak positions follow from Bragg's law for the DFT cell and can differ from measured ones.

Principal peaks in the range 5° ≤ 2θ ≤ 70°, most intense first:
Position (°2θ)  I (rel.)  index
31.74  100  1 1 2
39.47  61  2 0 0
30.34  49  1 0 3
43.86  30  1 0 5
41.93  27  1 1 4
50.58  23  2 1 3
60.46  23  2 1 5
66.77  22  3 1 2

Structure:
```
data_PrIn2Ag2
_symmetry_space_group_name_H-M 'P 4/n m m'
_symmetry_Int_Tables_number 129
_cell_length_a 4.5663
_cell_length_b 4.5663
_cell_length_c 11.5702
_cell_angle_alpha 90.00
_cell_angle_beta 90.00
_cell_angle_gamma 90.00
loop_
_symmetry_equiv_pos_as_xyz
'x,y,z'
'-x,-y,-z'
'-y+1/2,x,z'
'y+1/2,-x,-z'
'-x+1/2,-y+1/2,z'
'x+1/2,y+1/2,-z'
'y,-x+1/2,z'
'-y,x+1/2,-z'
'x+1/2,-y,-z'
'-x+1/2,y,z'
'-y,-x,-z'
'y,x,z'
'-x,y+1/2,-z'
'x,-y+1/2,z'
'y+1/2,x+1/2,-z'
'-y+1/2,-x+1/2,z'
loop_
_atom_site_label
_atom_site_type_symbol
_atom_site_fract_x
_atom_site_fract_y
_atom_site_fract_z
Pr1 Pr 0.2500 0.2500 0.2455
In1 In 0.2500 0.2500 0.8662
In2 In 0.2500 0.7500 0.5000
Ag1 Ag 0.2500 0.2500 0.6385
Ag2 Ag 0.2500 0.7500 0.0000
```

---

For Hg4O5, a DFT-relaxed cell (PBE, OQMD) gives the theoretical XRD peak list in this record (Cu Kα X-rays).
Peak positions follow from Bragg's law for the DFT cell and can differ from measured ones.

Principal peaks in the range 5° ≤ 2θ ≤ 70°, most intense first:
Position (°2θ)  I (rel.)  index
30.27  100  1 0 2
31.25  43  1 1 0
55.00  39  2 1 2
53.14  23  1 1 4
44.78  22  2 0 0
62.95  12  2 0 4
41.85  10  0 0 4
69.29  8  1 0 6

Structure:
```
data_Hg4O5
_symmetry_space_group_name_H-M 'P 4/m m m'
_symmetry_Int_Tables_number 123
_symmetry_space_group_name_Hall '-P 4 2'
_cell_length_a 4.0481
_cell_length_b 4.0481
_cell_length_c 8.6349
_cell_angle_alpha 90.00
_cell_angle_beta 90.00
_cell_angle_gamma 90.00
loop_
_atom_site_label
_atom_site_type_symbol
_atom_site_fract_x
_atom_site_fract_y
_atom_site_fract_z
Hg1 Hg 0.0000 0.0000 0.0000
Hg2 Hg 0.0000 0.0000 0.5000
Hg3 Hg 0.5000 0.5000 0.2342
O1 O 0.0000 0.5000 0.1647
O2 O 0.5000 0.5000 0.5000
```